[1]
Theoretical PXRD pattern of CePd2Pt for CuKα, from the PBE geometry in the Materials Project.
No peak broadening, texture or thermal motion is included.

Atomic structure:
Cell lengths 4.1649, 4.1649, 4.1764 Å; angles 90.00, 90.00, 90.00 degrees
Space group P4/mmm (No. 123)
Unique sites:
Ce  0.0000  0.0000  0.0000 [1 per cell]
Pd  0.0000  0.5000  0.5000 [2 per cell]
Pt  0.5000  0.5000  0.0000 [1 per cell]

The 10 most intense peaks (15° ≤ 2θ ≤ 90°), low angle first:
- 21.29°, rel. 6, (0 0 1)
- 30.34°, rel. 5, (1 1 0)
- 37.36°, rel. 100, (1 1 1)
- 43.33°, rel. 16, (0 0 2)
- 43.46°, rel. 33, (2 0 0)
- 48.86°, rel. 3, (2 0 1)
- 63.08°, rel. 32, (2 2 0)
- 75.54°, rel. 13, (1 1 3)
- 75.72°, rel. 25, (3 1 1)
- 79.68°, rel. 11, (2 2 2)

[2]
Theoretical PXRD pattern of DyNiAs for CuKα, from the PBE geometry in the Materials Project.
No peak broadening, texture or thermal motion is included.

Atomic structure:
Cell lengths 4.0613, 4.0613, 3.8772 Å; angles 90.00, 90.00, 120.00 degrees
Space group P-6m2 (No. 187)
Unique sites:
Dy  0.0000  0.0000  0.0000 [1 per cell]
Ni  0.6667  0.3333  0.5000 [1 per cell]
As  0.3333  0.6667  0.5000 [1 per cell]

The 10 most intense peaks (15° ≤ 2θ ≤ 90°), low angle first:
- 25.32°, rel. 16, (1 0 0)
- 34.43°, rel. 100, (1 0 1)
- 44.62°, rel. 41, (1 1 0)
- 46.86°, rel. 12, (0 0 2)
- 54.01°, rel. 4, (1 0 2)
- 57.55°, rel. 23, (2 0 1)
- 66.70°, rel. 24, (1 1 2)
- 75.62°, rel. 20, (2 1 1)
- 78.91°, rel. 9, (1 0 3)
- 82.23°, rel. 7, (3 0 0)

[3]
Theoretical PXRD pattern of AcSe3 for CuKα, from the PBE geometry in the Materials Project.
No peak broadening, texture or thermal motion is included.

Atomic structure:
Cell lengths 6.2557, 6.2557, 6.1179 Å; angles 90.00, 90.00, 120.00 degrees
Space group P6_3/mmc (No. 194)
Unique sites:
Ac  0.3333  0.6667  0.2500 [2 per cell]
Se  0.1739  0.3477  0.7500 [6 per cell]

The 10 most intense peaks (15° ≤ 2θ ≤ 90°), low angle first:
- 16.36°, rel. 15, (1 0 0)
- 21.91°, rel. 29, (1 0 1)
- 29.19°, rel. 40, (0 0 2)
- 33.07°, rel. 21, (2 0 0)
- 36.27°, rel. 100, (2 0 1)
- 44.69°, rel. 19, (2 0 2)
- 56.48°, rel. 28, (2 0 3)
- 59.07°, rel. 16, (2 2 0)
- 67.23°, rel. 22, (2 2 2)
- 71.32°, rel. 14, (4 0 1)

[4]
Theoretical PXRD pattern of RbAlO3 for CuKα, from the PBE geometry in the Materials Project.
No peak broadening, texture or thermal motion is included.

Atomic structure:
Cell lengths 3.9441, 3.9441, 3.9441 Å; angles 90.00, 90.00, 90.00 degrees
Space group Pm-3m (No. 221)
Unique sites:
Rb  0.0000  0.0000  0.0000 [1 per cell]
Al  0.5000  0.5000  0.5000 [1 per cell]
O  0.0000  0.5000  0.5000 [3 per cell]

The 10 most intense peaks (15° ≤ 2θ ≤ 90°), low angle first:
- 22.54°, rel. 22, (1 0 0)
- 32.09°, rel. 100, (1 1 0)
- 39.58°, rel. 46, (1 1 1)
- 46.02°, rel. 48, (2 0 0)
- 51.83°, rel. 11, (2 1 0)
- 57.21°, rel. 39, (2 1 1)
- 67.13°, rel. 28, (2 2 0)
- 76.36°, rel. 18, (3 1 0)
- 80.82°, rel. 13, (3 1 1)
- 85.24°, rel. 9, (2 2 2)

[5]
Theoretical PXRD pattern of Cr3Te4 for CuKα, from the PBE geometry in the Materials Project.
No peak broadening, texture or thermal motion is included.

Atomic structure:
Cell lengths 6.9780, 4.0290, 12.6420 Å; angles 90.00, 90.26, 90.00 degrees
Space group C2/m (No. 12)
Unique sites:
Cr  0.0000  0.0000  0.0000 [2 per cell]
Cr  0.0018  0.0000  0.2559 [4 per cell]
Te  0.1637  0.5000  0.6348 [4 per cell]
Te  0.1680  0.5000  0.1253 [4 per cell]

The 10 most intense peaks (15° ≤ 2θ ≤ 90°), low angle first:
- 28.24°, rel. 13, (0 0 4)
- 29.22°, rel. 100, (1 1 -2)
- 29.29°, rel. 25, (2 0 2)
- 38.38°, rel. 29, (1 1 -4)
- 38.50°, rel. 24, (2 0 4)
- 45.00°, rel. 44, (3 1 0)
- 50.52°, rel. 11, (2 0 -6)
- 50.67°, rel. 15, (1 1 6)
- 54.56°, rel. 18, (2 2 2)
- 73.30°, rel. 12, (1 3 -2)